(1)
The following is a calculated powder X-ray diffraction pattern of Zn5Si. It was derived from the PBE geometry in Alexandria, using λ = 1.5418 Å (Cu Kα).
Kinematic intensities with the Lorentz-polarization factor, no thermal factor.

Principal peaks in the range 5° ≤ 2θ ≤ 70°, low angle first:
d (Å)	2θ/deg	I_rel
5.641	15.71	8
4.357	20.38	3
3.699	24.06	3
2.761	32.42	2
2.518	35.65	2
2.369	37.98	56
2.273	39.66	100
2.179	41.44	45
2.010	45.10	68
1.886	48.25	28
1.424	65.57	10
1.420	65.79	31

Structural model:
```
12
Lattice="11.4680 0.0000 0.0000 0.0000 2.8475 0.0000 -0.9246 0.0000 5.6225" Properties=species:S:1:pos:R:3 pbc="T T T"
Zn 0.0000 0.0000 0.0000
Zn 1.5818 1.4238 1.8845
Zn 1.1290 1.4238 4.6526
Zn 3.6804 0.0000 0.9699
Zn 3.2276 0.0000 3.7380
Zn 5.7340 1.4238 0.0000
Zn 7.3158 0.0000 1.8845
Zn 6.8630 0.0000 4.6526
Zn 9.4144 1.4238 0.9699
Zn 8.9616 1.4238 3.7380
Si -0.4623 0.0000 2.8113
Si 5.2717 1.4238 2.8113
```


(2)
The following is a calculated powder X-ray diffraction pattern of Zn3Si. It was derived from the PBE geometry in Alexandria, using λ = 1.5418 Å (Cu Kα).
Kinematic intensities with the Lorentz-polarization factor, no thermal factor.

Principal peaks in the range 5° ≤ 2θ ≤ 70°, low angle first:
d (Å)	2θ/deg	I_rel
5.544	15.99	6
2.889	30.96	32
2.772	32.29	46
2.494	36.01	7
2.315	38.90	38
2.077	43.58	100
1.777	51.42	24
1.697	54.05	4
1.676	54.77	11
1.499	61.91	10
1.425	65.49	18
1.358	69.20	10

Structural model:
```
8
Lattice="2.5593 0.0000 0.0000 0.0000 4.6302 0.0000 0.0000 0.0000 11.0888" Properties=species:S:1:pos:R:3 pbc="T T T"
Zn 0.0000 0.0000 0.0000
Zn 0.0000 2.3151 2.4588
Zn 0.0000 2.3151 8.6300
Zn 1.2797 0.0000 3.0856
Zn 1.2797 0.0000 8.0032
Zn 1.2797 2.3151 5.5444
Si 0.0000 0.0000 5.5444
Si 1.2797 2.3151 0.0000
```


(3)
The following is a calculated powder X-ray diffraction pattern of Zn3Si. It was derived from the PBE geometry in Alexandria, using λ = 1.5418 Å (Cu Kα).
Kinematic intensities with the Lorentz-polarization factor, no thermal factor.

Principal peaks in the range 5° ≤ 2θ ≤ 70°, low angle first:
d (Å)	2θ/deg	I_rel
4.677	18.98	17
3.958	22.46	6
2.898	30.85	3
2.402	37.45	3
2.338	38.50	100
2.311	38.97	6
2.207	40.89	84
1.979	45.85	30
1.959	46.34	58
1.782	51.26	3
1.449	64.29	10
1.392	67.24	36

Structural model:
```
8
Lattice="5.7961 0.0000 0.0000 0.0000 7.9162 0.0000 0.0000 0.0000 2.6588" Properties=species:S:1:pos:R:3 pbc="T T T"
Zn 0.0000 0.0000 0.0000
Zn 1.4490 1.9791 1.3294
Zn 1.4490 5.9372 1.3294
Zn 2.8980 3.9581 0.0000
Zn 4.3471 1.9791 1.3294
Zn 4.3471 5.9372 1.3294
Si 0.0000 3.9581 0.0000
Si 2.8980 0.0000 0.0000
```


(4)
The following is a calculated powder X-ray diffraction pattern of ZnSi2. It was derived from the PBE geometry in Alexandria, using λ = 1.5418 Å (Cu Kα).
Kinematic intensities with the Lorentz-polarization factor, no thermal factor.

Principal peaks in the range 5° ≤ 2θ ≤ 70°, low angle first:
d (Å)	2θ/deg	I_rel
5.660	15.66	36
2.830	31.61	12
2.676	33.49	87
2.284	39.45	100
2.118	42.69	90
1.887	48.23	24
1.671	54.95	15
1.564	59.05	38
1.508	61.50	6
1.439	64.79	15
1.369	68.54	7
1.350	69.62	9

Structural model:
```
9
Lattice="3.1286 0.0000 0.0000 -1.5643 2.7095 0.0000 0.0000 0.0000 16.9813" Properties=species:S:1:pos:R:3 pbc="T T T"
Zn 0.0000 0.0000 0.0000
Zn 0.0000 1.8063 11.3208
Zn 1.5643 0.9032 5.6604
Si 0.0000 0.0000 3.7131
Si 0.0000 0.0000 13.2681
Si 0.0000 1.8063 7.6077
Si 0.0000 1.8063 15.0340
Si 1.5643 0.9032 1.9473
Si 1.5643 0.9032 9.3736
```


(5)
The following is a calculated powder X-ray diffraction pattern of Zn3Si4. It was derived from the PBE geometry in Alexandria, using λ = 1.5418 Å (Cu Kα).
Kinematic intensities with the Lorentz-polarization factor, no thermal factor.

Principal peaks in the range 5° ≤ 2θ ≤ 70°, low angle first:
d (Å)	2θ/deg	I_rel
5.115	17.34	1
3.617	24.62	9
2.953	30.27	100
2.557	35.09	20
2.287	39.39	26
2.088	43.33	24
1.808	50.47	38
1.705	53.77	16
1.617	56.93	13
1.542	59.99	25
1.476	62.95	8
1.367	68.66	2

Structural model:
```
7
Lattice="5.1147 0.0000 0.0000 0.0000 5.1147 0.0000 0.0000 0.0000 5.1147" Properties=species:S:1:pos:R:3 pbc="T T T"
Zn 0.0000 0.0000 2.5573
Zn 0.0000 2.5573 0.0000
Zn 2.5573 0.0000 0.0000
Si 1.6746 1.6746 1.6746
Si 1.6746 3.4401 3.4401
Si 3.4401 1.6746 3.4401
Si 3.4401 3.4401 1.6746
```


(6)
The following is a calculated powder X-ray diffraction pattern of ZrSi8. It was derived from the PBE geometry in Alexandria, using λ = 1.5418 Å (Cu Kα).
Kinematic intensities with the Lorentz-polarization factor, no thermal factor.

Principal peaks in the range 5° ≤ 2θ ≤ 70°, low angle first:
d (Å)	2θ/deg	I_rel
6.235	14.20	25
4.409	20.14	8
3.264	27.32	14
3.118	28.63	6
2.789	32.10	9
2.623	34.18	13
2.254	39.99	100
2.078	43.54	39
1.757	52.06	11
1.576	58.56	5
1.485	62.54	5
1.470	63.27	12

Structural model:
```
9
Lattice="-4.4091 4.4091 1.7567 4.4091 -4.4091 1.7567 4.4091 4.4091 -1.7567" Properties=species:S:1:pos:R:3 pbc="T T T"
Zr 0.0000 0.0000 0.0000
Si 2.8998 0.0000 0.0000
Si 5.9185 0.0000 0.0000
Si 2.8809 2.8809 0.0000
Si 1.5283 -1.5283 1.7567
Si 0.0000 2.8998 0.0000
Si 0.0000 5.9185 0.0000
Si -1.5283 1.5283 1.7567
Si 1.5283 1.5283 1.7567
```


(7)
The following is a calculated powder X-ray diffraction pattern of ZrSi5. It was derived from the PBE geometry in Alexandria, using λ = 1.5418 Å (Cu Kα).
Kinematic intensities with the Lorentz-polarization factor, no thermal factor.

Principal peaks in the range 5° ≤ 2θ ≤ 70°, low angle first:
d (Å)	2θ/deg	I_rel
4.612	19.24	12
4.216	21.07	33
3.112	28.69	25
2.434	36.93	29
2.306	39.06	27
2.153	41.97	100
2.108	42.90	4
2.023	44.80	9
1.917	47.42	8
1.674	54.84	18
1.506	61.57	7
1.405	66.54	16

Structural model:
```
6
Lattice="4.8683 0.0000 0.0000 -2.4341 4.2160 0.0000 0.0000 0.0000 4.6121" Properties=species:S:1:pos:R:3 pbc="T T T"
Zr 0.0000 0.0000 0.0000
Si -1.6462 2.8512 2.3061
Si 0.7880 1.3648 2.3061
Si 0.0000 2.8107 0.0000
Si 2.4341 1.4053 0.0000
Si 3.2923 0.0000 2.3061
```


(8)
The following is a calculated powder X-ray diffraction pattern of Zr5Si3. It was derived from the PBE geometry in Alexandria, using λ = 1.5418 Å (Cu Kα).
Kinematic intensities with the Lorentz-polarization factor, no thermal factor.

Principal peaks in the range 5° ≤ 2θ ≤ 70°, low angle first:
d (Å)	2θ/deg	I_rel
3.561	25.01	21
3.380	26.37	34
2.670	33.57	31
2.592	34.61	82
2.518	35.66	20
2.389	37.65	88
2.332	38.61	100
2.180	41.42	46
1.690	54.27	15
1.526	60.68	28
1.512	61.33	36
1.467	63.41	22

Structural model:
```
16
Lattice="-5.3449 5.3449 2.6687 5.3449 -5.3449 2.6687 5.3449 5.3449 -2.6687" Properties=species:S:1:pos:R:3 pbc="T T T"
Zr 8.4000 0.8636 0.0000
Zr 0.8636 2.2898 0.0000
Zr 5.3449 0.0000 1.3344
Zr 6.2085 3.0551 0.0000
Zr 3.0551 4.4813 0.0000
Zr 2.2898 0.8636 2.6687
Zr -0.8636 2.2898 2.6687
Zr 0.0000 5.3449 1.3344
Zr 4.4813 3.0551 2.6687
Zr -3.0551 4.4813 2.6687
Si 3.6289 1.7160 0.0000
Si 0.0000 0.0000 1.3344
Si 3.6289 -1.7160 2.6687
Si 1.7160 7.0609 0.0000
Si 0.0000 0.0000 4.0031
Si 1.7160 3.6289 2.6687
```


(9)
The following is a calculated powder X-ray diffraction pattern of ZrSi3. It was derived from the PBE geometry in Alexandria, using λ = 1.5418 Å (Cu Kα).
Kinematic intensities with the Lorentz-polarization factor, no thermal factor.

Principal peaks in the range 5° ≤ 2θ ≤ 70°, low angle first:
d (Å)	2θ/deg	I_rel
5.443	16.28	27
3.458	25.76	26
2.919	30.63	43
2.722	32.91	7
2.445	36.76	78
2.230	40.44	12
2.139	42.26	100
1.819	50.16	9
1.729	52.96	26
1.488	62.43	11
1.457	63.89	8
1.345	69.97	43

Structural model:
```
4
Lattice="3.4579 0.0000 0.0000 0.0000 3.4579 0.0000 0.0000 0.0000 5.4431" Properties=species:S:1:pos:R:3 pbc="T T T"
Zr 0.0000 0.0000 0.0000
Si 0.0000 0.0000 2.7216
Si 1.7289 1.7289 1.4995
Si 1.7289 1.7289 3.9436
```


(10)
The following is a calculated powder X-ray diffraction pattern of Zr3Si4. It was derived from the PBE geometry in Alexandria, using λ = 1.5418 Å (Cu Kα).
Kinematic intensities with the Lorentz-polarization factor, no thermal factor.

Principal peaks in the range 5° ≤ 2θ ≤ 70°, low angle first:
d (Å)	2θ/deg	I_rel
4.993	17.76	18
4.622	19.20	63
3.392	26.27	14
2.496	35.97	73
2.446	36.74	32
2.311	38.97	16
2.197	41.09	100
2.097	43.13	29
1.696	54.08	17
1.462	63.66	18
1.441	64.67	20
1.376	68.15	11

Structural model:
```
7
Lattice="5.7654 0.0000 0.0000 -2.8827 4.9930 0.0000 0.0000 0.0000 4.6220" Properties=species:S:1:pos:R:3 pbc="T T T"
Zr -1.4413 2.4965 0.0000
Zr 2.8827 0.0000 0.0000
Zr 1.4413 2.4965 0.0000
Si 0.0000 0.0000 1.1363
Si 0.0000 0.0000 3.4857
Si 0.0000 3.3286 2.3110
Si 2.8827 1.6643 2.3110
```


(11)
The following is a calculated powder X-ray diffraction pattern of Sm. It was derived from the PBE geometry in Alexandria, using λ = 1.5418 Å (Cu Kα).
Kinematic intensities with the Lorentz-polarization factor, no thermal factor.

Principal peaks in the range 5° ≤ 2θ ≤ 70°, low angle first:
d (Å)	2θ/deg	I_rel
3.185	28.01	24
2.914	30.68	25
2.795	32.02	100
2.150	42.02	16
1.839	49.57	20
1.659	55.39	21
1.593	57.90	3
1.555	59.43	23
1.536	60.24	16
1.457	63.88	3
1.398	66.96	4

Structural model:
```
2
Lattice="3.6781 0.0000 0.0000 -1.8390 3.1853 0.0000 0.0000 0.0000 5.8285" Properties=species:S:1:pos:R:3 pbc="T T T"
Sm 0.0000 2.1235 1.4571
Sm 1.8390 1.0618 4.3714
```


(12)
The following is a calculated powder X-ray diffraction pattern of Sm2Sn5. It was derived from the PBE geometry in Alexandria, using λ = 1.5418 Å (Cu Kα).
Kinematic intensities with the Lorentz-polarization factor, no thermal factor.

Principal peaks in the range 5° ≤ 2θ ≤ 70°, low angle first:
d (Å)	2θ/deg	I_rel
3.207	27.82	2
2.739	32.69	100
2.550	35.19	18
2.305	39.07	16
2.287	39.40	16
1.710	53.59	11
1.703	53.85	11
1.624	56.70	11
1.506	61.57	11
1.401	66.78	15
1.393	67.23	13
1.370	68.51	11

Structural model:
```
14
Lattice="2.2869 -17.8520 0.0000 2.2869 17.8520 0.0000 0.0000 0.0000 4.6109" Properties=species:S:1:pos:R:3 pbc="T T T"
Sm 2.2869 15.3888 0.0000
Sm 2.2869 10.5536 0.0000
Sm 2.2869 -10.5536 0.0000
Sm 2.2869 -15.3888 0.0000
Sn 0.0000 0.0000 2.3055
Sn 2.2869 12.8601 2.3055
Sn 2.2869 7.9118 2.3055
Sn 2.2869 4.9964 0.0000
Sn 2.2869 2.6090 2.3055
Sn 2.2869 0.0000 0.0000
Sn 2.2869 -2.6090 2.3055
Sn 2.2869 -4.9964 0.0000
Sn 2.2869 -7.9118 2.3055
Sn 2.2869 -12.8601 2.3055
```


Repeat the sixth record exactly.
The following is a calculated powder X-ray diffraction pattern of ZrSi8. It was derived from the PBE geometry in Alexandria, using λ = 1.5418 Å (Cu Kα).
Kinematic intensities with the Lorentz-polarization factor, no thermal factor.

Principal peaks in the range 5° ≤ 2θ ≤ 70°, low angle first:
d (Å)	2θ/deg	I_rel
6.235	14.20	25
4.409	20.14	8
3.264	27.32	14
3.118	28.63	6
2.789	32.10	9
2.623	34.18	13
2.254	39.99	100
2.078	43.54	39
1.757	52.06	11
1.576	58.56	5
1.485	62.54	5
1.470	63.27	12

Structural model:
```
9
Lattice="-4.4091 4.4091 1.7567 4.4091 -4.4091 1.7567 4.4091 4.4091 -1.7567" Properties=species:S:1:pos:R:3 pbc="T T T"
Zr 0.0000 0.0000 0.0000
Si 2.8998 0.0000 0.0000
Si 5.9185 0.0000 0.0000
Si 2.8809 2.8809 0.0000
Si 1.5283 -1.5283 1.7567
Si 0.0000 2.8998 0.0000
Si 0.0000 5.9185 0.0000
Si -1.5283 1.5283 1.7567
Si 1.5283 1.5283 1.7567
```